For Ba2Y2CuPtO8, a cell relaxed with GGA-PBE gives the simulated X-ray powder pattern in this record (Cu Kα (weighted mean of Kα1 and Kα2)).
No peak broadening, texture or thermal motion is included.

Most intense lines, 2θ = 15–90°, in order of rising 2θ:
d (Å)	2θ (°)	intensity
4.715	18.82	24
2.979	30.00	33
2.908	30.75	85
2.892	30.93	100
2.875	31.11	61
2.745	32.62	20
2.413	37.27	24
2.193	41.16	23
1.985	45.70	30
1.663	55.23	20

Cell and atoms:
```
data_Ba2Y2CuPtO8
_chemical_formula_sum 'Ba8 Y8 Cu4 Pt4 O32'
_cell_length_a 13.3810
_cell_length_b 5.7500
_cell_length_c 10.4486
_cell_angle_alpha 90.00
_cell_angle_beta 90.00
_cell_angle_gamma 90.00
_symmetry_space_group_name_H-M 'P 1'
_symmetry_Int_Tables_number 1
loop_
_symmetry_equiv_pos_as_xyz
'x,y,z'
loop_
_atom_site_label
_atom_site_fract_x
_atom_site_fract_y
_atom_site_fract_z
Ba1 0.0772 0.2500 0.0913
Ba2 0.2069 0.7500 0.3137
Ba3 0.2931 0.2500 0.8137
Ba4 0.4228 0.7500 0.5913
Ba5 0.5772 0.2500 0.4087
Ba6 0.7069 0.7500 0.1863
Ba7 0.7931 0.2500 0.6863
Ba8 0.9228 0.7500 0.9087
Y1 0.0832 0.2500 0.4859
Y2 0.1422 0.7500 0.6882
Y3 0.3578 0.2500 0.1882
Y4 0.4168 0.7500 0.9859
Y5 0.5832 0.2500 0.0141
Y6 0.6422 0.7500 0.8118
Y7 0.8578 0.2500 0.3118
Y8 0.9168 0.7500 0.5141
Cu1 0.0390 0.2500 0.7680
Cu2 0.4610 0.7500 0.2680
Cu3 0.5390 0.2500 0.7320
Cu4 0.9610 0.7500 0.2320
Pt1 0.1935 0.7500 0.9677
Pt2 0.3065 0.2500 0.4677
Pt3 0.6935 0.7500 0.5323
Pt4 0.8065 0.2500 0.0323
O1 0.0072 0.0071 0.6370
O2 0.0072 0.4929 0.6370
O3 0.0886 0.7500 0.1088
O4 0.1142 0.5065 0.8619
O5 0.1142 0.9935 0.8619
O6 0.2041 0.2500 0.3142
O7 0.2172 0.0092 0.5566
O8 0.2172 0.4908 0.5566
O9 0.2828 0.5092 0.0566
O10 0.2828 0.9908 0.0566
O11 0.2959 0.7500 0.8142
O12 0.3858 0.0065 0.3619
O13 0.3858 0.4935 0.3619
O14 0.4114 0.2500 0.6088
O15 0.4928 0.5071 0.1370
O16 0.4928 0.9929 0.1370
O17 0.5072 0.0071 0.8630
O18 0.5072 0.4929 0.8630
O19 0.5886 0.7500 0.3912
O20 0.6142 0.5065 0.6381
O21 0.6142 0.9935 0.6381
O22 0.7041 0.2500 0.1858
O23 0.7172 0.0092 0.9434
O24 0.7172 0.4908 0.9434
O25 0.7828 0.5092 0.4434
O26 0.7828 0.9908 0.4434
O27 0.7959 0.7500 0.6858
O28 0.8858 0.0065 0.1381
O29 0.8858 0.4935 0.1381
O30 0.9114 0.2500 0.8912
O31 0.9928 0.5071 0.3630
O32 0.9928 0.9929 0.3630
```


For RbSe, a cell relaxed with GGA-PBE gives the simulated X-ray powder pattern in this record (Cu Kα (weighted mean of Kα1 and Kα2)).
No peak broadening, texture or thermal motion is included.

Most intense lines, 2θ = 15–90°, in order of rising 2θ:
d (Å)	2θ (°)	intensity
4.711	18.84	22
3.787	23.49	100
2.720	32.93	99
2.637	33.99	71
2.209	40.85	21
1.935	46.97	16
1.893	48.06	25
1.715	53.43	17
1.570	58.81	16
1.554	59.49	25

Cell and atoms:
```
data_RbSe
_chemical_formula_sum 'Rb6 Se6'
_cell_length_a 9.4217
_cell_length_b 9.4217
_cell_length_c 6.3653
_cell_angle_alpha 90.00
_cell_angle_beta 90.00
_cell_angle_gamma 120.00
_symmetry_space_group_name_H-M 'P 1'
_symmetry_Int_Tables_number 1
loop_
_symmetry_equiv_pos_as_xyz
'x,y,z'
loop_
_atom_site_label
_atom_site_fract_x
_atom_site_fract_y
_atom_site_fract_z
Rb1 0.0000 0.3125 0.0000
Rb2 0.0000 0.6474 0.5000
Rb3 0.3125 0.0000 0.0000
Rb4 0.3526 0.3526 0.5000
Rb5 0.6474 0.0000 0.5000
Rb6 0.6875 0.6875 0.0000
Se1 0.0000 0.0000 0.3091
Se2 0.0000 0.0000 0.6909
Se3 0.3333 0.6667 0.1919
Se4 0.3333 0.6667 0.8081
Se5 0.6667 0.3333 0.1919
Se6 0.6667 0.3333 0.8081
```


For Nb6Zn7, a cell relaxed with GGA-PBE gives the simulated X-ray powder pattern in this record (Cu Kα (weighted mean of Kα1 and Kα2)).
No peak broadening, texture or thermal motion is included.

Most intense lines, 2θ = 15–90°, in order of rising 2θ:
d (Å)	2θ (°)	intensity
2.549	35.21	66
2.335	38.55	60
2.228	40.49	100
2.201	41.01	41
2.177	41.48	68
2.102	43.03	22
2.049	44.20	40
1.427	65.40	23
1.388	67.47	26
1.275	74.43	31

Cell and atoms:
```
data_Nb6Zn7
_chemical_formula_sum 'Nb6 Zn7'
_cell_length_a 9.6326
_cell_length_b 9.6326
_cell_length_c 9.6326
_cell_angle_alpha 30.69
_cell_angle_beta 30.69
_cell_angle_gamma 30.69
_symmetry_space_group_name_H-M 'P 1'
_symmetry_Int_Tables_number 1
loop_
_symmetry_equiv_pos_as_xyz
'x,y,z'
loop_
_atom_site_label
_atom_site_fract_x
_atom_site_fract_y
_atom_site_fract_z
Nb1 0.0449 0.0449 0.0449
Nb2 0.1500 0.1500 0.1500
Nb3 0.3355 0.3355 0.3355
Nb4 0.6645 0.6645 0.6645
Nb5 0.8500 0.8500 0.8500
Nb6 0.9551 0.9551 0.9551
Zn1 0.0858 0.5934 0.5934
Zn2 0.4066 0.4066 0.9142
Zn3 0.4066 0.9142 0.4066
Zn4 0.5000 0.5000 0.5000
Zn5 0.5934 0.0858 0.5934
Zn6 0.5934 0.5934 0.0858
Zn7 0.9142 0.4066 0.4066
```


For YPRu2C, a cell relaxed with GGA-PBE gives the simulated X-ray powder pattern in this record (Cu Kα (weighted mean of Kα1 and Kα2)).
No peak broadening, texture or thermal motion is included.

Most intense lines, 2θ = 15–90°, in order of rising 2θ:
d (Å)	2θ (°)	intensity
2.980	29.99	30
2.647	33.87	100
2.578	34.80	35
2.520	35.63	97
2.479	36.24	26
2.168	41.65	34
1.970	46.06	33
1.899	47.91	34
1.485	62.53	26
1.431	65.20	22

Cell and atoms:
```
data_YPRu2C
_chemical_formula_sum 'Y2 P2 Ru4 C2'
_cell_length_a 5.8534
_cell_length_b 5.8534
_cell_length_c 7.0700
_cell_angle_alpha 90.00
_cell_angle_beta 90.00
_cell_angle_gamma 142.15
_symmetry_space_group_name_H-M 'P 1'
_symmetry_Int_Tables_number 1
loop_
_symmetry_equiv_pos_as_xyz
'x,y,z'
loop_
_atom_site_label
_atom_site_fract_x
_atom_site_fract_y
_atom_site_fract_z
Y1 0.0444 0.9556 0.7500
Y2 0.9556 0.0444 0.2500
P1 0.2320 0.7680 0.2500
P2 0.7680 0.2320 0.7500
Ru1 0.3347 0.6653 0.5531
Ru2 0.3347 0.6653 0.9469
Ru3 0.6653 0.3347 0.0531
Ru4 0.6653 0.3347 0.4469
C1 0.5000 0.5000 0.0000
C2 0.5000 0.5000 0.5000
```


For KCuH3, a cell relaxed with GGA-PBE gives the simulated X-ray powder pattern in this record (Cu Kα (weighted mean of Kα1 and Kα2)).
No peak broadening, texture or thermal motion is included.

Most intense lines, 2θ = 15–90°, in order of rising 2θ:
d (Å)	2θ (°)	intensity
4.121	21.57	11
2.914	30.68	65
2.662	33.67	100
2.060	43.95	24
1.629	56.48	40
1.496	62.04	15
1.331	70.80	10
1.303	72.54	9
1.278	74.21	8
1.118	87.17	11

Cell and atoms:
```
data_KCuH3
_chemical_formula_sum 'K2 Cu2 H6'
_cell_length_a 5.3977
_cell_length_b 5.3977
_cell_length_c 5.3977
_cell_angle_alpha 114.66
_cell_angle_beta 114.66
_cell_angle_gamma 99.53
_symmetry_space_group_name_H-M 'P 1'
_symmetry_Int_Tables_number 1
loop_
_symmetry_equiv_pos_as_xyz
'x,y,z'
loop_
_atom_site_label
_atom_site_fract_x
_atom_site_fract_y
_atom_site_fract_z
K1 0.2500 0.2500 0.0000
K2 0.7500 0.7500 0.0000
Cu1 0.0000 0.5000 0.5000
Cu2 0.5000 0.0000 0.5000
H1 0.1900 0.6900 0.8801
H2 0.2500 0.7500 0.5000
H3 0.3100 0.1900 0.5000
H4 0.6900 0.8100 0.5000
H5 0.7500 0.2500 0.5000
H6 0.8100 0.3100 0.1199
```